This entry pairs a crystal structure of Li2VP2O8 with its simulated powder diffractogram. Radiation: copper Kα. Structure: a structure optimized by DFT (PBE+U).

Largest 10 diffraction maxima, by angle, 2θ from 10° to 90°:
Position (°2θ)	I/Imax	hkl
16.63	1000	0 1 1
23.02	960	1 1 -1
23.39	423	1 0 1
24.91	544	0 2 1
25.74	788	1 1 1
29.64	351	1 2 -1
31.14	408	1 1 -2
33.62	438	0 2 2
37.00	356	1 3 0
42.10	234	1 1 -3

```
Li2VP2O8
1.0
5.047 0.000 0.000
0.000 8.343 0.000
-1.000 0.000 6.932
Li V P O
4 2 4 16
direct
0.236 0.000 0.109
0.250 0.340 0.750
0.750 0.840 0.250
0.764 0.500 0.891
0.259 0.353 0.262
0.741 0.853 0.738
0.188 0.032 0.521
0.295 0.674 0.978
0.705 0.174 0.022
0.812 0.532 0.479
0.007 0.219 0.095
0.038 0.998 0.696
0.063 0.955 0.335
0.214 0.216 0.495
0.295 0.491 0.030
0.396 0.781 0.146
0.470 0.687 0.811
0.482 0.966 0.584
0.518 0.466 0.416
0.530 0.187 0.189
0.604 0.281 0.854
0.705 0.991 0.970
0.786 0.716 0.505
0.937 0.455 0.665
0.962 0.498 0.304
0.993 0.719 0.905
```